This entry pairs a crystal structure of KTl2CdRh with its simulated powder diffraction line list. Radiation: Cu Kα (λ = 1.5418 Å). Structure: a crystal structure in Alexandria, relaxed with PBE.
Kinematic intensities with the Lorentz-polarization factor, no thermal factor.

Largest 6 diffraction maxima, in order of falling intensity, 2θ = 10–80°:
Position (°2θ)  I_rel  hkl
29.1  100  1 1 1
33.8  73  2 0 0
16.5  57  0 0 1
48.3  54  2 0 2
37.9  38  2 0 1
33.4  38  0 0 2

Cell lengths 5.299, 5.299, 5.367 Å; angles 90.00, 90.00, 90.00 degrees
Space group P4/mmm (No. 123)
Unique sites:
K 0.000 0.000 0.000 (multiplicity 1)
Tl 0.000 0.500 0.500 (multiplicity 2)
Cd 0.500 0.500 0.000 (multiplicity 1)
Rh 0.500 0.500 0.500 (multiplicity 1)


This entry pairs a crystal structure of Tb7PmSm4 with its simulated powder diffraction line list. Radiation: Cu Kα (λ = 1.5418 Å). Structure: a crystal structure in Alexandria, relaxed with PBE.
Kinematic intensities with the Lorentz-polarization factor, no thermal factor.

Largest 6 diffraction maxima, in order of falling intensity, 2θ = 10–80°:
Position (°2θ)  I_rel  hkl
31.4  100  1 -2 0
31.9  50  2 0 -1
30.9  37  2 0 2
30.2  34  0 0 3
32.2  32  1 2 2
32.4  18  0 1 3

Cell lengths 6.561, 6.867, 9.133 Å; angles 85.68, 77.02, 82.19 degrees
Space group P-1 (No. 2)
Unique sites:
Tb 0.000 0.000 0.000 (multiplicity 1)
Tb 0.191 0.603 0.387 (multiplicity 2)
Tb 0.317 0.198 0.640 (multiplicity 2)
Tb 0.486 0.750 0.052 (multiplicity 2)
Pm 0.000 0.500 0.000 (multiplicity 1)
Sm 0.162 0.111 0.311 (multiplicity 2)
Sm 0.360 0.693 0.716 (multiplicity 2)


This entry pairs a crystal structure of HfS2ClO8 with its simulated powder diffraction line list. Radiation: Cu Kα (λ = 1.5418 Å). Structure: a crystal structure in Alexandria, relaxed with PBE.
Kinematic intensities with the Lorentz-polarization factor, no thermal factor.

Largest 6 diffraction maxima, in order of falling intensity, 2θ = 10–80°:
Position (°2θ)  I_rel  hkl
10.3  100  0 0 1
22.4  54  1 1 1
19.2  39  1 1 0
29.2  33  1 1 2
21.0  28  2 0 -1
26.9  23  2 0 -2

Cell lengths 9.208, 5.349, 8.636 Å; angles 90.00, 96.30, 90.00 degrees
Space group C2/m (No. 12)
Unique sites:
Hf 0.000 0.000 0.000 (multiplicity 2)
S 0.183 0.500 0.202 (multiplicity 4)
Cl 0.000 0.000 0.500 (multiplicity 2)
O 0.096 0.276 0.143 (multiplicity 8)
O 0.183 0.000 0.884 (multiplicity 4)
O 0.217 0.500 0.367 (multiplicity 4)